Computed powder X-ray diffraction pattern of CuAg4 for Cu Kα (weighted mean of Kα1 and Kα2), from DFT lattice parameters and positions (PBE).
No peak broadening, texture or thermal motion is included.

Atomic structure:
a = 2.903 Å, b = 2.903 Å, c = 19.912 Å
α = 90.00°, β = 90.00°, γ = 90.00°
Space group P4/mmm (No. 123)
Symmetry-distinct sites (fractional):
Cu 0.000 0.000 0.091 (multiplicity 2)
Ag 0.000 0.000 0.288 (multiplicity 2)
Ag 0.000 0.000 0.500 (multiplicity 1)
Ag 0.500 0.500 0.000 (multiplicity 1)
Ag 0.500 0.500 0.181 (multiplicity 2)
Ag 0.500 0.500 0.394 (multiplicity 2)

Principal peaks in the range 2θ from 10° to 90°, sorted by position:
index, d (Å), 2θ/deg, I_rel
1 0 5, 2.346, 38.37, 100.0
1 1 0, 2.053, 44.12, 37.6
0 0 10, 1.991, 45.56, 10.1
2 0 0, 1.451, 64.17, 11.6
1 1 10, 1.429, 65.29, 12.9
2 1 5, 1.234, 77.31, 23.4



Computed powder X-ray diffraction pattern of Ba4Sm4Zn3PtO15 for Cu Kα (weighted mean of Kα1 and Kα2), from DFT lattice parameters and positions (PBE).
No peak broadening, texture or thermal motion is included.

Atomic structure:
a = 11.6819 Å, b = 11.6819 Å, c = 6.7277 Å
α = 90.00°, β = 90.00°, γ = 120.00°
Space group P6_3mc (No. 186)
Symmetry-distinct sites (fractional):
Ba 0.1718 0.3436 0.0000 (multiplicity 6)
Ba 0.3333 0.6667 0.6818 (multiplicity 2)
Sm 0.0000 0.0000 0.1710 (multiplicity 2)
Sm 0.0459 0.5230 0.3454 (multiplicity 6)
Zn 0.1705 0.3410 0.5168 (multiplicity 6)
Pt 0.3333 0.6667 0.1590 (multiplicity 2)
O 0.0560 0.3945 0.6458 (multiplicity 12)
O 0.0830 0.1659 0.4022 (multiplicity 6)
O 0.1638 0.5819 0.9995 (multiplicity 6)
O 0.2508 0.5015 0.3340 (multiplicity 6)

Principal peaks in the range 2θ from 10° to 90°, sorted by position:
index, d (Å), 2θ/deg, I_rel
2 2 0, 2.919, 30.63, 100.0
2 0 2, 2.801, 31.95, 25.4
3 0 2, 2.382, 37.77, 27.2
4 1 2, 1.846, 49.38, 18.2
6 0 0, 1.686, 54.43, 16.2
4 4 0, 1.460, 63.75, 17.2



Computed powder X-ray diffraction pattern of Dy4ErLu2Ni2Te2 for Cu Kα (weighted mean of Kα1 and Kα2), from DFT lattice parameters and positions (PBE).
No peak broadening, texture or thermal motion is included.

Atomic structure:
a = 3.832 Å, b = 15.512 Å, c = 9.513 Å
α = 90.00°, β = 90.00°, γ = 90.00°
Space group Imm2 (No. 44)
Symmetry-distinct sites (fractional):
Dy 0.000 0.146 0.000 (multiplicity 4)
Dy 0.000 0.184 0.647 (multiplicity 4)
Er 0.000 0.500 0.270 (multiplicity 2)
Lu 0.000 0.366 0.852 (multiplicity 4)
Ni 0.000 0.262 0.340 (multiplicity 4)
Te 0.000 0.000 0.501 (multiplicity 2)
Te 0.000 0.500 0.612 (multiplicity 2)

Principal peaks in the range 2θ from 10° to 90°, sorted by position:
index, d (Å), 2θ/deg, I_rel
1 1 2, 2.930, 30.51, 52.0
0 3 3, 2.703, 33.14, 79.5
1 4 1, 2.620, 34.22, 100.0
0 6 0, 2.585, 34.71, 75.8
2 0 0, 1.916, 47.45, 29.3
2 3 3, 1.563, 59.10, 30.5



Computed powder X-ray diffraction pattern of TmScCoSi2 for Cu Kα (weighted mean of Kα1 and Kα2), from DFT lattice parameters and positions (PBE).
No peak broadening, texture or thermal motion is included.

Atomic structure:
a = 10.038 Å, b = 4.056 Å, c = 9.700 Å
α = 90.00°, β = 119.61°, γ = 90.00°
Space group C2/m (No. 12)
Symmetry-distinct sites (fractional):
Tm 0.004 0.000 0.176 (multiplicity 4)
Sc 0.182 0.000 0.605 (multiplicity 4)
Co 0.224 0.500 0.873 (multiplicity 4)
Si 0.011 0.500 0.380 (multiplicity 4)
Si 0.150 0.500 0.071 (multiplicity 4)

Principal peaks in the range 2θ from 10° to 90°, sorted by position:
index, d (Å), 2θ/deg, I_rel
0 0 1, 8.433, 10.49, 100.0
1 1 0, 3.678, 24.20, 66.8
1 1 2, 2.524, 35.57, 57.3
1 1 -3, 2.498, 35.94, 54.1
3 1 -3, 2.327, 38.69, 77.2
0 2 0, 2.028, 44.69, 43.9



Computed powder X-ray diffraction pattern of Tb2HoSb3 for Cu Kα (weighted mean of Kα1 and Kα2), from DFT lattice parameters and positions (PBE).
No peak broadening, texture or thermal motion is included.

Atomic structure:
a = 4.3851 Å, b = 4.3851 Å, c = 10.7366 Å
α = 90.00°, β = 90.00°, γ = 120.00°
Space group P-3m1 (No. 164)
Symmetry-distinct sites (fractional):
Tb 0.3333 0.6667 0.3325 (multiplicity 2)
Ho 0.0000 0.0000 0.0000 (multiplicity 1)
Sb 0.0000 0.0000 0.5000 (multiplicity 1)
Sb 0.3333 0.6667 0.8351 (multiplicity 2)

Principal peaks in the range 2θ from 10° to 90°, sorted by position:
index, d (Å), 2θ/deg, I_rel
1 0 2, 3.100, 28.80, 100.0
1 1 0, 2.192, 41.18, 76.1
0 2 2, 1.790, 51.02, 27.2
2 0 4, 1.550, 59.65, 12.7
2 1 2, 1.386, 67.56, 34.8
3 0 0, 1.266, 75.05, 25.8



Computed powder X-ray diffraction pattern of NdDyGa4Pt2 for Cu Kα (weighted mean of Kα1 and Kα2), from DFT lattice parameters and positions (PBE).
No peak broadening, texture or thermal motion is included.

Atomic structure:
a = 6.770 Å, b = 4.396 Å, c = 10.336 Å
α = 90.00°, β = 90.00°, γ = 90.00°
Space group Amm2 (No. 38)
Symmetry-distinct sites (fractional):
Nd 0.000 0.000 0.000 (multiplicity 2)
Dy 0.500 0.000 0.165 (multiplicity 2)
Ga 0.199 0.000 0.714 (multiplicity 4)
Ga 0.306 0.000 0.448 (multiplicity 4)
Pt 0.000 0.000 0.287 (multiplicity 2)
Pt 0.500 0.000 0.876 (multiplicity 2)

Principal peaks in the range 2θ from 10° to 90°, sorted by position:
index, d (Å), 2θ/deg, I_rel
2 0 0, 3.385, 26.33, 29.8
2 1 1, 2.596, 34.55, 78.8
1 1 3, 2.517, 35.67, 100.0
1 0 4, 2.414, 37.25, 46.4
0 2 0, 2.198, 41.07, 42.8
2 1 3, 2.116, 42.73, 34.3